Starting from a GGA-PBE-relaxed structure, the powder X-ray diffraction pattern of NaInFeBr4 was computed for Cu Kα (λ = 1.5418 Å).

Unit cell a=7.1847 b=7.5484 c=8.7822 alpha=90.00 beta=106.96 gamma=90.00
Space group P2_1/m (No. 11)
Unique sites:
Na 0.2253 0.2500 0.0581
In 0.2397 0.2500 0.5644
Fe 0.2372 0.7500 0.8198
Br 0.0093 0.9995 0.7720
Br 0.4341 0.7500 0.6376
Br 0.4489 0.7500 0.0911

Most intense lines, 2θ = 10–80°, low angle first:
2θ 26.95, rel. 100
2θ 30.39, rel. 69
2θ 30.78, rel. 84
2θ 31.88, rel. 44
2θ 32.00, rel. 46
2θ 41.14, rel. 56